Theoretical powder diffractogram
Compound: Na4CaInP3O12
Radiation: Cu Kα, 1.54184 Å
Structure: a GGA-PBE-relaxed structure
No peak broadening, texture or thermal motion is included.

Main lines, in order of rising 2θ (5 to 70 degrees two-theta):
two_theta  Rel. int.
13.45  45
18.97  26
19.16  47
22.38  28
27.09  22
29.44  14
30.48  100
33.18  60
45.67  39
50.19  15
51.73  21
57.60  27

Crystal structure
Lattice parameters (Å, degrees): 9.3540 9.3540 22.5876 90.00 90.00 120.00
Space group R3c (No. 161, hexagonal axes)
One atom of each set of equivalent atoms:
Na1 0.0000 0.0000 0.0000 (multiplicity 6)
Na2 0.0346 0.3381 0.0823 (multiplicity 18)
Ca1 0.0000 0.0000 0.3492 (multiplicity 6)
In1 0.0000 0.0000 0.1535 (multiplicity 6)
P1 0.0076 0.3074 0.2515 (multiplicity 18)
O1 0.0024 0.1919 0.9137 (multiplicity 18)
O2 0.0334 0.2244 0.1947 (multiplicity 18)
O3 0.1281 0.4463 0.9734 (multiplicity 18)
O4 0.1704 0.4816 0.2534 (multiplicity 18)